# B3Os2
Computed XRD peak list, Cu Ka. Input: a crystal structure in the Materials Project, relaxed with GGA-PBE.
Neutral-atom scattering factors, no anomalous dispersion.

Top 10 peaks for 2θ from 15° to 90°, low angle first:
hkl 0 0 4, d = 3.231 Å, 2θ 27.60, I 61; hkl 1 0 0, d = 2.548 Å, 2θ 35.23, I 36; hkl 1 0 1, d = 2.500 Å, 2θ 35.93, I 100; hkl 1 0 3, d = 2.193 Å, 2θ 41.16, I 29; hkl 1 0 4, d = 2.001 Å, 2θ 45.33, I 25; hkl 1 0 5, d = 1.815 Å, 2θ 50.28, I 71; hkl 1 1 0, d = 1.471 Å, 2θ 63.21, I 27; hkl 1 1 4, d = 1.339 Å, 2θ 70.32, I 28; hkl 1 0 9, d = 1.251 Å, 2θ 76.08, I 19; hkl 2 0 5, d = 1.143 Å, 2θ 84.85, I 16

Structure:
```
data_B3Os2
_symmetry_space_group_name_H-M 'P 63/m m c'
_symmetry_Int_Tables_number 194
_symmetry_space_group_name_Hall '-P 6c 2c'
_cell_length_a 2.9420
_cell_length_b 2.9420
_cell_length_c 12.9256
_cell_angle_alpha 90.00
_cell_angle_beta 90.00
_cell_angle_gamma 120.00
loop_
_atom_site_label
_atom_site_type_symbol
_atom_site_fract_x
_atom_site_fract_y
_atom_site_fract_z
B1 B 0.3333 0.6667 0.0307
B2 B 0.3333 0.6667 0.2500
Os1 Os 0.3333 0.6667 0.6399
```

# Hf4Fe
Computed XRD peak list, Cu Ka. Input: a crystal structure in the Materials Project, relaxed with GGA-PBE.
Neutral-atom scattering factors, no anomalous dispersion.

Top 10 peaks for 2θ from 15° to 90°, low angle first:
hkl 2 2 2, d = 2.770 Å, 2θ 32.32, I 100; hkl 4 0 0, d = 2.399 Å, 2θ 37.49, I 40; hkl 3 3 1, d = 2.201 Å, 2θ 41.00, I 13; hkl 5 1 1, d = 1.847 Å, 2θ 49.35, I 16; hkl 4 4 0, d = 1.696 Å, 2θ 54.07, I 36; hkl 6 2 2, d = 1.447 Å, 2θ 64.41, I 32; hkl 4 4 4, d = 1.385 Å, 2θ 67.65, I 7; hkl 5 5 1, d = 1.344 Å, 2θ 70.03, I 8; hkl 5 5 3, d = 1.249 Å, 2θ 76.22, I 7; hkl 6 6 2, d = 1.101 Å, 2θ 88.92, I 11

Structure:
a = 9.595 Å, b = 9.595 Å, c = 9.595 Å
α = 90.00°, β = 90.00°, γ = 90.00°
Space group Fd-3m (No. 227, origin choice 2)
Unique sites:
1 Hf 0.014 0.014 0.236
2 Fe 0.125 0.125 0.625